(1)
# Sr3TbHg4
Calculated XRD peak list, λ = 1.5418 Å (Cu Kα). Input: DFT lattice parameters and positions (GGA-PBE).
Intensities are scaled so that the largest is 100.

Main lines, sorted by position (2θ from 5° to 70°):
index, d (Å), 2θ/deg, Rel. int.
0 0 1, 15.959, 5.54, 12
0 0 4, 3.990, 22.28, 5
1 0 0, 3.901, 22.79, 12
1 0 4, 2.789, 32.09, 100
1 1 0, 2.759, 32.46, 53
1 1 4, 2.269, 39.72, 5
0 0 8, 1.995, 45.47, 8
2 0 0, 1.951, 46.56, 19
1 1 8, 1.617, 56.97, 15
2 1 4, 1.599, 57.67, 38
2 0 8, 1.395, 67.11, 10
2 2 0, 1.379, 67.96, 6

Structure:
Cell: 3.9014 3.9014 15.9592 Å, 90.00 90.00 90.00°
Space group P4/mmm (No. 123)
Asymmetric unit:
Sr 0.0000 0.0000 0.0000 x1
Sr 0.0000 0.0000 0.2591 x2
Tb 0.0000 0.0000 0.5000 x1
Hg 0.5000 0.5000 0.1297 x2
Hg 0.5000 0.5000 0.3931 x2

***

(2)
# ThMgP2Ir5
Calculated XRD peak list, λ = 1.5418 Å (Cu Kα). Input: DFT lattice parameters and positions (GGA-PBE).
Intensities are scaled so that the largest is 100.

Main lines, sorted by position (2θ from 5° to 70°):
index, d (Å), 2θ/deg, Rel. int.
0 0 3, 3.302, 27.00, 87
1 0 2, 3.159, 28.25, 4
1 1 0, 2.900, 30.84, 6
1 1 1, 2.783, 32.16, 100
1 1 2, 2.502, 35.89, 86
1 1 3, 2.179, 41.44, 13
2 0 0, 2.050, 44.17, 59
1 1 4, 1.883, 48.33, 35
2 0 3, 1.742, 52.54, 57
0 0 6, 1.651, 55.67, 12
1 1 5, 1.636, 56.23, 31
2 2 0, 1.450, 64.24, 20

Structure:
Cell: 4.1008 4.1008 9.9061 Å, 90.00 90.00 90.00°
Space group P4/mmm (No. 123)
Asymmetric unit:
Th 0.0000 0.0000 0.0000 x1
Mg 0.0000 0.0000 0.5000 x1
P 0.5000 0.5000 0.2310 x2
Ir 0.0000 0.5000 0.3278 x4
Ir 0.5000 0.5000 0.0000 x1

***

(3)
# V5Pt3Rh3
Calculated XRD peak list, λ = 1.5418 Å (Cu Kα). Input: DFT lattice parameters and positions (GGA-PBE).
Intensities are scaled so that the largest is 100.

Main lines, sorted by position (2θ from 5° to 70°):
index, d (Å), 2θ/deg, Rel. int.
1 1 0, 4.344, 20.44, 51
2 0 0, 3.762, 23.65, 71
2 1 0, 2.844, 31.46, 47
1 0 1, 2.519, 35.65, 37
1 1 1, 2.276, 39.59, 38
2 0 1, 2.179, 41.44, 74
2 2 0, 2.172, 41.58, 16
3 1 0, 2.087, 43.36, 100
2 1 1, 1.948, 46.63, 49
2 2 1, 1.686, 54.43, 40
3 3 0, 1.450, 64.26, 27
4 1 1, 1.399, 66.88, 15

Structure:
Cell: 8.6886 8.6886 2.6727 Å, 90.00 90.00 120.00°
Space group P-62m (No. 189)
Asymmetric unit:
V 0.0000 0.6901 0.0000 x3
V 0.3333 0.6667 0.0000 x2
Pt 0.0000 0.4439 0.5000 x3
Rh 0.0000 0.1763 0.0000 x3